# Pr8Sm3Ho3
Theoretical XRD peak list, CuKα. Input: DFT lattice parameters and positions (GGA-PBE).

Crystal structure
a = 5.764 Å, b = 10.987 Å, c = 15.415 Å
α = 90.00°, β = 90.00°, γ = 90.00°
Space group Immm (No. 71)
One atom of each set of equivalent atoms:
1 Pr 0.000 0.158 0.223
2 Pr 0.000 0.337 0.396
3 Sm 0.000 0.000 0.500
4 Sm 0.000 0.500 0.179
5 Ho 0.000 0.000 0.000
6 Ho 0.000 0.301 0.000

Most intense lines, 2θ from 10° to 90°, by angle:
| (hkl) | d_spacing | intensity |
| --- | --- | --- |
| 1 2 3 | 3.145 | 17 |
| 1 1 4 | 3.076 | 34 |
| 0 3 3 | 2.982 | 29 |
| 2 0 0 | 2.882 | 52 |
| 1 3 2 | 2.869 | 100 |
| 1 0 5 | 2.719 | 51 |
| 2 3 3 | 2.072 | 21 |
| 3 3 2 | 1.661 | 20 |

***

# PrSm12Ho5
Theoretical XRD peak list, CuKα. Input: DFT lattice parameters and positions (GGA-PBE).

Crystal structure
a = 10.802 Å, b = 5.097 Å, c = 10.814 Å
α = 90.00°, β = 90.04°, γ = 90.00°
Space group P2/m (No. 10)
One atom of each set of equivalent atoms:
1 Pr 0.000 0.000 0.000
2 Sm 0.001 0.000 0.666
3 Sm 0.167 0.500 0.167
4 Sm 0.169 0.500 0.501
5 Sm 0.334 0.000 0.999
6 Sm 0.335 0.000 0.335
7 Sm 0.499 0.500 0.831
8 Ho 0.168 0.500 0.832
9 Ho 0.333 0.000 0.667
10 Ho 0.500 0.500 0.500

Most intense lines, 2θ from 10° to 90°, by angle:
| (hkl) | d_spacing | intensity |
| --- | --- | --- |
| 3 1 0 | 2.942 | 100 |
| 3 0 3 | 2.548 | 51 |
| 6 0 0 | 1.802 | 36 |
| 3 3 0 | 1.536 | 43 |
| 6 2 0 | 1.471 | 12 |
| 0 4 0 | 1.274 | 6 |
| 6 3 3 | 1.169 | 15 |
| 3 4 3 | 1.140 | 15 |

***

# Pr5Sm4Ho
Theoretical XRD peak list, CuKα. Input: DFT lattice parameters and positions (GGA-PBE).

Crystal structure
a = 3.661 Å, b = 9.673 Å, c = 10.383 Å
α = 105.54°, β = 90.11°, γ = 100.88°
Space group P-1 (No. 2)
One atom of each set of equivalent atoms:
1 Pr 0.000 0.000 0.000
2 Pr 0.199 0.400 0.100
3 Pr 0.400 0.802 0.696
4 Sm 0.200 0.399 0.600
5 Sm 0.400 0.801 0.205
6 Ho 0.000 0.000 0.500

Most intense lines, 2θ from 10° to 90°, by angle:
| (hkl) | d_spacing | intensity |
| --- | --- | --- |
| 0 2 2 | 2.990 | 100 |
| 0 1 -4 | 2.596 | 17 |
| 1 2 0 | 2.587 | 34 |
| 2 -1 0 | 1.832 | 30 |
| 0 1 6 | 1.564 | 14 |
| 2 1 2 | 1.561 | 22 |
| 0 4 4 | 1.494 | 9 |
| 3 -2 2 | 1.188 | 9 |

***

# PrSm4Ho8
Theoretical XRD peak list, CuKα. Input: DFT lattice parameters and positions (GGA-PBE).

Crystal structure
a = 7.796 Å, b = 7.796 Å, c = 7.796 Å
α = 90.00°, β = 90.00°, γ = 90.00°
Space group Pm-3m (No. 221)
One atom of each set of equivalent atoms:
1 Pr 0.000 0.000 0.000
2 Sm 0.000 0.000 0.500
3 Sm 0.500 0.500 0.500
4 Ho 0.261 0.261 0.261

Most intense lines, 2θ from 10° to 90°, by angle:
| (hkl) | d_spacing | intensity |
| --- | --- | --- |
| 1 1 1 | 4.501 | 12 |
| 2 0 0 | 3.898 | 9 |
| 2 2 0 | 2.756 | 100 |
| 3 1 1 | 2.351 | 7 |
| 4 0 0 | 1.949 | 18 |
| 4 2 2 | 1.591 | 37 |
| 4 4 0 | 1.378 | 11 |
| 6 2 0 | 1.233 | 15 |

***

# Pr12Sm2Ho
Theoretical XRD peak list, CuKα. Input: DFT lattice parameters and positions (GGA-PBE).

Crystal structure
a = 6.649 Å, b = 6.649 Å, c = 25.720 Å
α = 90.00°, β = 90.00°, γ = 90.00°
Space group P4/nbm (No. 125, origin choice 2)
One atom of each set of equivalent atoms:
1 Pr 0.066 0.566 0.113
2 Pr 0.082 0.582 0.563
3 Pr 0.250 0.250 0.214
4 Pr 0.250 0.250 0.337
5 Sm 0.250 0.750 0.268
6 Ho 0.250 0.750 0.000

Most intense lines, 2θ from 10° to 90°, by angle:
| (hkl) | d_spacing | intensity |
| --- | --- | --- |
| 2 0 2 | 3.219 | 42 |
| 2 0 3 | 3.100 | 29 |
| 2 0 4 | 2.953 | 37 |
| 1 1 7 | 2.896 | 100 |
| 0 0 9 | 2.858 | 29 |
| 2 1 4 | 2.699 | 25 |
| 2 2 0 | 2.351 | 30 |
| 3 1 9 | 1.694 | 26 |

***

# Pr6Sm3Ho2
Theoretical XRD peak list, CuKα. Input: DFT lattice parameters and positions (GGA-PBE).

Crystal structure
a = 3.6585 Å, b = 3.6585 Å, c = 98.2834 Å
α = 90.00°, β = 90.00°, γ = 120.00°
Space group R-3m (No. 166, hexagonal axes)
One atom of each set of equivalent atoms:
1 Pr 0.0000 0.0000 0.0914
2 Pr 0.0000 0.0000 0.1824
3 Pr 0.0000 0.0000 0.3638
4 Sm 0.0000 0.0000 0.0000
5 Sm 0.0000 0.0000 0.2725
6 Ho 0.0000 0.0000 0.4545

Most intense lines, 2θ from 10° to 90°, by angle:
| (hkl) | d_spacing | intensity |
| --- | --- | --- |
| 0 1 11 | 2.984 | 100 |
| 1 0 22 | 2.584 | 51 |
| 1 1 0 | 1.829 | 18 |
| 0 1 44 | 1.826 | 18 |
| 2 0 11 | 1.559 | 32 |
| 1 0 55 | 1.556 | 11 |
| 0 2 22 | 1.493 | 9 |
| 1 2 11 | 1.187 | 9 |

***

Repeat the second record exactly.
# PrSm12Ho5
Theoretical XRD peak list, CuKα. Input: DFT lattice parameters and positions (GGA-PBE).

Crystal structure
a = 10.802 Å, b = 5.097 Å, c = 10.814 Å
α = 90.00°, β = 90.04°, γ = 90.00°
Space group P2/m (No. 10)
One atom of each set of equivalent atoms:
1 Pr 0.000 0.000 0.000
2 Sm 0.001 0.000 0.666
3 Sm 0.167 0.500 0.167
4 Sm 0.169 0.500 0.501
5 Sm 0.334 0.000 0.999
6 Sm 0.335 0.000 0.335
7 Sm 0.499 0.500 0.831
8 Ho 0.168 0.500 0.832
9 Ho 0.333 0.000 0.667
10 Ho 0.500 0.500 0.500

Most intense lines, 2θ from 10° to 90°, by angle:
| (hkl) | d_spacing | intensity |
| --- | --- | --- |
| 3 1 0 | 2.942 | 100 |
| 3 0 3 | 2.548 | 51 |
| 6 0 0 | 1.802 | 36 |
| 3 3 0 | 1.536 | 43 |
| 6 2 0 | 1.471 | 12 |
| 0 4 0 | 1.274 | 6 |
| 6 3 3 | 1.169 | 15 |
| 3 4 3 | 1.140 | 15 |